Starting from a DFT-relaxed cell (PBE, Alexandria), the powder diffractogram of Tb6PrSmDy2 was computed for Cu Kα X-rays.

Atomic structure:
a b c (Å): 8.816 8.816 9.668
angles (deg): 94.08 94.08 117.68
Fractional coordinates of all 20 atoms:
Tb 0.025 0.571 0.181
Tb 0.118 0.750 0.557
Tb 0.250 0.882 0.943
Tb 0.293 0.507 0.379
Tb 0.429 0.975 0.319
Tb 0.493 0.707 0.121
Tb 0.507 0.293 0.879
Tb 0.571 0.025 0.681
Tb 0.707 0.493 0.621
Tb 0.750 0.118 0.057
Tb 0.882 0.250 0.443
Tb 0.975 0.429 0.819
Pr 0.406 0.594 0.750
Pr 0.594 0.406 0.250
Sm 0.025 0.975 0.250
Sm 0.975 0.025 0.750
Dy 0.194 0.296 0.045
Dy 0.296 0.194 0.545
Dy 0.704 0.806 0.455
Dy 0.806 0.704 0.955

Top 6 peaks for 15 to 90 degrees two-theta, sorted by position:
28.5 deg, d 3.135, I = 38
30.4 deg, d 2.938, I = 100
31.3 deg, d 2.862, I = 42
31.4 deg, d 2.853, I = 62
31.5 deg, d 2.842, I = 35
33.6 deg, d 2.669, I = 44